Calculated powder diffractogram of FeW2O8 for copper Kα, from a PBE+U-relaxed structure.
Neutral-atom scattering factors, no anomalous dispersion.

Cell and atoms:
```
data_FeW2O8
_cell_length_a 5.074
_cell_length_b 5.836
_cell_length_c 10.684
_cell_angle_alpha 90.00
_cell_angle_beta 117.91
_cell_angle_gamma 90.00
_symmetry_space_group_name_H-M 'P 1 2/c 1'
_symmetry_Int_Tables_number 13
loop_
_symmetry_equiv_pos_as_xyz
'x,y,z'
'-x,-y,-z'
'-x,y,-z+1/2'
'x,-y,z+1/2'
loop_
_atom_site_label
_atom_site_type_symbol
_atom_site_fract_x
_atom_site_fract_y
_atom_site_fract_z
Fe1 Fe 0.000 0.156 0.250
W1 W 0.245 0.326 0.997
O1 O 0.168 0.396 0.608
O2 O 0.219 0.158 0.136
O3 O 0.245 0.100 0.880
O4 O 0.316 0.391 0.393
```

Most intense lines, 2θ = 10–90°, in order of rising 2θ:
- 18.80 deg, intensity 100, hkl 0 0 2
- 23.23 deg, intensity 99, hkl 1 1 -1
- 24.25 deg, intensity 51, hkl 0 1 2
- 29.96 deg, intensity 88, hkl 1 1 1
- 30.14 deg, intensity 86, hkl 1 1 -3
- 40.52 deg, intensity 39, hkl 1 2 -3